[1]
Structure and computed X-ray powder pattern of Gd3Ge13Pt4 (the GGA-PBE geometry in OQMD; Cu Kα).
Kinematic intensities with the Lorentz-polarization factor, no thermal factor.

Peak list (8 most intense, 10° ≤ 2θ ≤ 90°, low angle first)
2θ = 19.49°, intensity 44, (2 2 0)
2θ = 27.69°, intensity 32, (4 0 0)
2θ = 34.07°, intensity 100, (4 0 2)
2θ = 35.34°, intensity 45, (3 3 -2)
2θ = 35.50°, intensity 64, (5 1 0)
2θ = 39.31°, intensity 33, (0 0 4)
2θ = 39.58°, intensity 63, (4 4 0)
2θ = 48.96°, intensity 44, (4 0 4)

Structure:
a = 12.8931 Å, b = 12.8712 Å, c = 9.1681 Å
α = 90.00°, β = 90.39°, γ = 90.00°
Space group Cc (No. 9)
Symmetry-distinct sites (fractional):
1 Gd 0.0000 0.0001 0.0000 [4 per cell]
2 Gd 0.1232 0.3776 0.2471 [4 per cell]
3 Gd 0.3767 0.1253 0.2450 [4 per cell]
4 Ge 0.0782 0.4258 0.9140 [4 per cell]
5 Ge 0.1191 0.3777 0.6375 [4 per cell]
6 Ge 0.1632 0.1647 0.3913 [4 per cell]
7 Ge 0.1662 0.1671 0.0970 [4 per cell]
8 Ge 0.1827 0.0713 0.7449 [4 per cell]
9 Ge 0.2513 0.2547 0.7474 [4 per cell]
10 Ge 0.3033 0.3075 0.0078 [4 per cell]
11 Ge 0.3078 0.3041 0.4760 [4 per cell]
12 Ge 0.3417 0.4852 0.2514 [4 per cell]
13 Ge 0.4091 0.0875 0.6043 [4 per cell]
14 Ge 0.4197 0.0797 0.9079 [4 per cell]
15 Ge 0.4459 0.3281 0.7469 [4 per cell]
16 Ge 0.4949 0.3406 0.2481 [4 per cell]
17 Pt 0.9998 0.2502 0.9976 [4 per cell]
18 Pt 0.2451 0.0002 0.4941 [4 per cell]
19 Pt 0.2506 0.4982 0.5029 [4 per cell]
20 Pt 0.4982 0.2489 0.9988 [4 per cell]

[2]
Structure and computed X-ray powder pattern of GdGePt2 (the GGA-PBE geometry in OQMD; Cu Kα).
Kinematic intensities with the Lorentz-polarization factor, no thermal factor.

Peak list (8 most intense, 10° ≤ 2θ ≤ 90°, low angle first)
2θ = 26.51°, intensity 32, (1 1 0)
2θ = 33.43°, intensity 100, (1 0 2)
2θ = 33.72°, intensity 46, (0 2 1)
2θ = 37.01°, intensity 60, (1 1 2)
2θ = 38.12°, intensity 30, (1 2 0)
2θ = 40.30°, intensity 73, (1 2 1)
2θ = 43.64°, intensity 47, (2 0 0)
2θ = 47.31°, intensity 34, (1 1 3)

Structure:
a = 4.1478 Å, b = 5.7432 Å, c = 7.0234 Å
α = 90.00°, β = 90.00°, γ = 90.00°
Space group Pmc2_1 (No. 26)
Symmetry-distinct sites (fractional):
1 Gd 0.0000 0.1820 0.0000 [2 per cell]
2 Ge 0.5000 0.3306 0.6070 [2 per cell]
3 Pt 0.0000 0.3426 0.4079 [2 per cell]
4 Pt 0.5000 0.0530 0.2747 [2 per cell]

[3]
Structure and computed X-ray powder pattern of SmGdSc2Ge2 (the GGA-PBE geometry in OQMD; Cu Kα).
Kinematic intensities with the Lorentz-polarization factor, no thermal factor.

Peak list (8 most intense, 10° ≤ 2θ ≤ 90°, low angle first)
2θ = 26.91°, intensity 68, (1 0 3)
2θ = 29.57°, intensity 98, (1 1 0)
2θ = 31.72°, intensity 93, (1 1 2)
2θ = 34.17°, intensity 35, (0 0 6)
2θ = 35.41°, intensity 100, (1 0 5)
2θ = 37.53°, intensity 80, (1 1 4)
2θ = 42.30°, intensity 82, (2 0 0)
2θ = 56.32°, intensity 52, (2 1 5)

Structure:
a = 4.2728 Å, b = 4.2728 Å, c = 15.7456 Å
α = 90.00°, β = 90.00°, γ = 90.00°
Space group I4mm (No. 107)
Symmetry-distinct sites (fractional):
1 Sm 0.0000 0.0000 0.0000 [2 per cell]
2 Gd 0.0000 0.0000 0.3535 [2 per cell]
3 Sc 0.0000 0.5000 0.1778 [4 per cell]
4 Ge 0.0000 0.0000 0.5516 [2 per cell]
5 Ge 0.0000 0.0000 0.8030 [2 per cell]

[4]
Structure and computed X-ray powder pattern of GdTmTa2Ge2 (the GGA-PBE geometry in OQMD; Cu Kα).
Kinematic intensities with the Lorentz-polarization factor, no thermal factor.

Peak list (8 most intense, 10° ≤ 2θ ≤ 90°, low angle first)
2θ = 11.29°, intensity 30, (0 0 1)
2θ = 31.90°, intensity 38, (1 0 2)
2θ = 33.54°, intensity 100, (1 1 1)
2θ = 34.33°, intensity 33, (0 0 3)
2θ = 39.15°, intensity 79, (1 1 2)
2θ = 45.11°, intensity 51, (2 0 0)
2θ = 57.89°, intensity 30, (2 0 3)
2θ = 79.23°, intensity 20, (3 1 2)

Structure:
a = 4.0196 Å, b = 4.0196 Å, c = 7.8368 Å
α = 90.00°, β = 90.00°, γ = 90.00°
Space group P4mm (No. 99)
Symmetry-distinct sites (fractional):
1 Gd 0.0000 0.0000 0.0000 [1 per cell]
2 Tm 0.5000 0.5000 0.2957 [1 per cell]
3 Ta 0.0000 0.5000 0.6435 [2 per cell]
4 Ge 0.0000 0.0000 0.3971 [1 per cell]
5 Ge 0.5000 0.5000 0.8897 [1 per cell]

[5]
Structure and computed X-ray powder pattern of GdTmGe (the GGA-PBE geometry in OQMD; Cu Kα).
Kinematic intensities with the Lorentz-polarization factor, no thermal factor.

Peak list (8 most intense, 10° ≤ 2θ ≤ 90°, low angle first)
2θ = 30.97°, intensity 100, (1 1 2)
2θ = 33.73°, intensity 29, (0 0 6)
2θ = 34.80°, intensity 26, (1 0 5)
2θ = 36.74°, intensity 64, (1 1 4)
2θ = 41.21°, intensity 49, (2 0 0)
2θ = 54.27°, intensity 30, (2 0 6)
2θ = 68.77°, intensity 20, (3 1 2)
2θ = 72.18°, intensity 18, (3 1 4)

Structure:
a = 4.3814 Å, b = 4.3814 Å, c = 15.9413 Å
α = 90.00°, β = 90.00°, γ = 90.00°
Space group I4/mmm (No. 139)
Symmetry-distinct sites (fractional):
1 Gd 0.0000 0.0000 0.1791 [4 per cell]
2 Tm 0.0000 0.5000 0.0000 [4 per cell]
3 Ge 0.0000 0.0000 0.3671 [4 per cell]

[6]
Structure and computed X-ray powder pattern of Gd4Zn5Ge6 (the GGA-PBE geometry in OQMD; Cu Kα).
Kinematic intensities with the Lorentz-polarization factor, no thermal factor.

Peak list (8 most intense, 10° ≤ 2θ ≤ 90°, low angle first)
2θ = 31.65°, intensity 41, (1 1 4)
2θ = 31.85°, intensity 30, (1 5 0)
2θ = 32.39°, intensity 34, (1 5 1)
2θ = 34.51°, intensity 27, (1 3 4)
2θ = 34.88°, intensity 27, (0 0 6)
2θ = 36.44°, intensity 100, (1 5 3)
2θ = 42.41°, intensity 56, (2 0 0)
2θ = 52.08°, intensity 21, (0 10 3)

Structure:
a = 4.2630 Å, b = 18.6777 Å, c = 15.4306 Å
α = 90.00°, β = 90.00°, γ = 90.00°
Space group Cmc2_1 (No. 36)
Symmetry-distinct sites (fractional):
1 Gd 0.0000 0.0193 0.0000 [4 per cell]
2 Gd 0.0000 0.0326 0.2632 [4 per cell]
3 Gd 0.0000 0.1679 0.8041 [4 per cell]
4 Gd 0.0000 0.1759 0.4456 [4 per cell]
5 Zn 0.0000 0.1515 0.1278 [4 per cell]
6 Zn 0.0000 0.3004 0.1255 [4 per cell]
7 Zn 0.0000 0.3447 0.7740 [4 per cell]
8 Zn 0.0000 0.3500 0.4812 [4 per cell]
9 Zn 0.0000 0.4344 0.1850 [4 per cell]
10 Ge 0.0000 0.1121 0.6182 [4 per cell]
11 Ge 0.0000 0.2217 0.9877 [4 per cell]
12 Ge 0.0000 0.2269 0.2652 [4 per cell]
13 Ge 0.0000 0.4312 0.9070 [4 per cell]
14 Ge 0.0000 0.4325 0.6298 [4 per cell]
15 Ge 0.0000 0.4405 0.3547 [4 per cell]

[7]
Structure and computed X-ray powder pattern of Gd5H (the GGA-PBE geometry in OQMD; Cu Kα).
Kinematic intensities with the Lorentz-polarization factor, no thermal factor.

Peak list (8 most intense, 10° ≤ 2θ ≤ 90°, low angle first)
2θ = 15.87°, intensity 89, (1 0 0)
2θ = 29.91°, intensity 41, (0 0 2)
2θ = 31.53°, intensity 78, (1 1 1)
2θ = 34.03°, intensity 28, (1 0 2)
2θ = 35.48°, intensity 100, (2 0 1)
2θ = 56.77°, intensity 26, (2 0 3)
2θ = 65.82°, intensity 26, (2 2 2)
2θ = 69.07°, intensity 23, (4 0 1)

Structure:
a = 6.4491 Å, b = 6.4491 Å, c = 5.9754 Å
α = 90.00°, β = 90.00°, γ = 120.00°
Space group P6/mmm (No. 191)
Symmetry-distinct sites (fractional):
1 Gd 0.0000 0.5000 0.0000 [3 per cell]
2 Gd 0.3333 0.6667 0.5000 [2 per cell]
3 H 0.0000 0.0000 0.5000 [1 per cell]

[8]
Structure and computed X-ray powder pattern of GdMg2H6 (the GGA-PBE geometry in OQMD; Cu Kα).
Kinematic intensities with the Lorentz-polarization factor, no thermal factor.

Peak list (8 most intense, 10° ≤ 2θ ≤ 90°, low angle first)
2θ = 11.18°, intensity 100, (0 0 1)
2θ = 27.49°, intensity 62, (1 0 1)
2θ = 33.89°, intensity 54, (1 0 2)
2θ = 35.70°, intensity 24, (1 1 0)
2θ = 37.52°, intensity 21, (1 1 1)
2θ = 42.64°, intensity 21, (1 0 3)
2θ = 50.11°, intensity 15, (1 1 3)
2θ = 62.99°, intensity 25, (2 1 2)

Structure:
a = 3.5572 Å, b = 3.5572 Å, c = 7.9126 Å
α = 90.00°, β = 90.00°, γ = 90.00°
Space group P4/mmm (No. 123)
Symmetry-distinct sites (fractional):
1 Gd 0.0000 0.0000 0.0000 [1 per cell]
2 Mg 0.5000 0.5000 0.2785 [2 per cell]
3 H 0.0000 0.5000 0.1905 [4 per cell]
4 H 0.5000 0.5000 0.0000 [1 per cell]
5 H 0.5000 0.5000 0.5000 [1 per cell]

[9]
Structure and computed X-ray powder pattern of GdHSO5 (the GGA-PBE geometry in OQMD; Cu Kα).
Kinematic intensities with the Lorentz-polarization factor, no thermal factor.

Peak list (8 most intense, 10° ≤ 2θ ≤ 90°, low angle first)
2θ = 14.60°, intensity 100, (0 2 0)
2θ = 20.18°, intensity 47, (0 2 1)
2θ = 25.88°, intensity 38, (1 2 -1)
2θ = 28.68°, intensity 63, (1 0 -2)
2θ = 30.82°, intensity 82, (1 1 1)
2θ = 31.16°, intensity 42, (1 3 0)
2θ = 32.68°, intensity 59, (0 4 1)
2θ = 42.11°, intensity 34, (2 1 -1)

Structure:
a = 4.3644 Å, b = 12.1302 Å, c = 6.8443 Å
α = 90.00°, β = 110.96°, γ = 90.00°
Space group P2_1/c (No. 14)
Symmetry-distinct sites (fractional):
1 Gd 0.1673 0.0607 0.3018 [4 per cell]
2 H 0.2115 0.6584 0.9845 [4 per cell]
3 S 0.4114 0.1488 0.8897 [4 per cell]
4 O 0.1988 0.0674 0.9511 [4 per cell]
5 O 0.2281 0.2483 0.3244 [4 per cell]
6 O 0.2329 0.5844 0.0463 [4 per cell]
7 O 0.2877 0.6687 0.4317 [4 per cell]
8 O 0.4805 0.1004 0.7110 [4 per cell]